Starting from a structure optimized by DFT (PBE), the X-ray diffraction stick pattern of Li3CuP2O8 was simulated for Cu Ka.

Atomic structure:
```
data_Li3CuP2O8
_chemical_formula_sum 'Li6 Cu2 P4 O16'
_cell_length_a 6.796
_cell_length_b 4.990
_cell_length_c 10.089
_cell_angle_alpha 90.00
_cell_angle_beta 90.02
_cell_angle_gamma 90.00
_space_group_name_H-M_alt 'P 1'
_space_group_IT_number 1
_space_group_name_Hall 'P 1'
loop_
_atom_site_label
_atom_site_type_symbol
_atom_site_fract_x
_atom_site_fract_y
_atom_site_fract_z
_atom_site_occupancy
Li1 Li 0.000 0.060 0.000 1
Li2 Li 0.000 0.940 0.500 1
Li3 Li 0.494 0.435 0.685 1
Li4 Li 0.494 0.565 0.185 1
Li5 Li 0.499 0.066 0.003 1
Li6 Li 0.499 0.934 0.503 1
Cu1 Cu 0.994 0.441 0.696 1
Cu2 Cu 0.994 0.559 0.196 1
P1 P 0.253 0.055 0.256 1
P2 P 0.253 0.945 0.756 1
P3 P 0.745 0.423 0.444 1
P4 P 0.745 0.577 0.944 1
O1 O 0.067 0.069 0.685 1
O2 O 0.067 0.931 0.185 1
O3 O 0.237 0.367 0.231 1
O4 O 0.237 0.633 0.731 1
O5 O 0.246 0.004 0.904 1
O6 O 0.246 0.996 0.404 1
O7 O 0.439 0.048 0.688 1
O8 O 0.439 0.952 0.188 1
O9 O 0.558 0.452 0.001 1
O10 O 0.558 0.548 0.501 1
O11 O 0.752 0.119 0.460 1
O12 O 0.752 0.881 0.960 1
O13 O 0.757 0.498 0.291 1
O14 O 0.757 0.502 0.791 1
O15 O 0.932 0.449 0.011 1
O16 O 0.932 0.551 0.511 1
```

Main lines, low angle first (15 to 90 degrees two-theta):
2θ 17.58, intensity 21
2θ 21.94, intensity 100
2θ 22.10, intensity 98
2θ 28.38, intensity 42
2θ 31.75, intensity 41
2θ 33.11, intensity 23
2θ 35.59, intensity 35
2θ 35.99, intensity 36